Record 1
Computed X-ray diffraction stick pattern
Compound: Pr2Y5Fe2
Radiation: copper Kα
Structure: a crystal structure in Alexandria, relaxed with PBE
Intensities are scaled so that the largest is 100.

Principal peaks in the range 2θ = 10–90°, by angle:
2θ = 28.20°, d 3.164, rel. 27.2, hkl 5 1 1
2θ = 30.74°, d 2.909, rel. 100.0, hkl 4 2 0
2θ = 33.29°, d 2.692, rel. 20.8, hkl 4 2 1
2θ = 35.89°, d 2.502, rel. 48.6, hkl 0 2 2
2θ = 40.52°, d 2.226, rel. 22.2, hkl 1 3 1
2θ = 57.88°, d 1.593, rel. 25.9, hkl 9 3 1

Structural model:
abc: 20.400 7.089 7.074
angles: 90.00 90.00 90.00
Space group Cmce (No. 64)
Unique sites:
Pr: 0.232 0.000 0.000 x8
Y: 0.000 0.000 0.000 x4
Y: 0.106 0.181 0.322 x16
Fe: 0.000 0.108 0.606 x8


Record 2
Computed X-ray diffraction stick pattern
Compound: Yb7Au3
Radiation: copper Kα
Structure: a crystal structure in Alexandria, relaxed with PBE
Intensities are scaled so that the largest is 100.

Principal peaks in the range 2θ = 10–90°, by angle:
2θ = 29.65°, d 3.013, rel. 49.6, hkl 1 0 2
2θ = 29.98°, d 2.981, rel. 100.0, hkl 2 1 1
2θ = 33.25°, d 2.694, rel. 99.0, hkl 3 0 1
2θ = 34.50°, d 2.600, rel. 73.7, hkl 2 0 2
2θ = 34.88°, d 2.572, rel. 68.1, hkl 2 2 0
2θ = 53.40°, d 1.716, rel. 45.2, hkl 3 3 0

Structural model:
abc: 10.2887 10.2887 6.4034
angles: 90.00 90.00 120.00
Space group P6_3mc (No. 186)
Unique sites:
Yb: 0.0788 0.5394 0.0000 x6
Yb: 0.1262 0.2523 0.2778 x6
Yb: 0.3333 0.6667 0.4840 x2
Au: 0.1895 0.3791 0.7205 x6


Record 3
Computed X-ray diffraction stick pattern
Compound: ThSi6Ru12
Radiation: copper Kα
Structure: a crystal structure in Alexandria, relaxed with PBE
Intensities are scaled so that the largest is 100.

Principal peaks in the range 2θ = 10–90°, by angle:
2θ = 28.53°, d 3.128, rel. 25.4, hkl 3 0 0
2θ = 35.67°, d 2.517, rel. 56.5, hkl 1 1 3
2θ = 36.08°, d 2.490, rel. 100.0, hkl 1 3 1
2θ = 40.61°, d 2.222, rel. 25.7, hkl 3 1 2
2θ = 42.99°, d 2.104, rel. 28.0, hkl 3 0 3
2θ = 53.33°, d 1.718, rel. 24.5, hkl 5 0 2

Structural model:
abc: 10.8372 10.8372 8.5276
angles: 90.00 90.00 120.00
Space group R-3m (No. 166, hexagonal axes)
Unique sites:
Th: 0.0000 0.0000 0.0000 x3
Si: 0.0330 0.5165 0.2799 x18
Ru: 0.0000 0.3679 0.5000 x18
Ru: 0.0893 0.1786 0.3597 x18


Record 4
Computed X-ray diffraction stick pattern
Compound: Li2SiP
Radiation: copper Kα
Structure: a crystal structure in Alexandria, relaxed with PBE
Intensities are scaled so that the largest is 100.

Principal peaks in the range 2θ = 10–90°, by angle:
2θ = 22.07°, d 4.028, rel. 100.0, hkl 0 1 0
2θ = 34.08°, d 2.631, rel. 29.2, hkl 0 0 2
2θ = 34.89°, d 2.571, rel. 27.1, hkl 1 0 0
2θ = 40.97°, d 2.203, rel. 67.4, hkl 0 1 2
2θ = 41.67°, d 2.167, rel. 64.0, hkl 1 1 0
2θ = 45.02°, d 2.014, rel. 25.3, hkl 0 2 0

Structural model:
abc: 2.571 4.028 5.262
angles: 90.00 90.48 90.00
Space group P2/m (No. 10)
Unique sites:
Li: 0.002 0.000 0.253 x2
Si: 0.500 0.500 0.000 x1
P: 0.500 0.500 0.500 x1


Record 5
Computed X-ray diffraction stick pattern
Compound: Na8B13C3
Radiation: copper Kα
Structure: a crystal structure in Alexandria, relaxed with PBE
Intensities are scaled so that the largest is 100.

Principal peaks in the range 2θ = 10–90°, by angle:
2θ = 35.22°, d 2.548, rel. 19.3, hkl 1 0 0
2θ = 41.17°, d 2.193, rel. 100.0, hkl 1 0 8
2θ = 42.00°, d 2.151, rel. 24.1, hkl 0 0 16
2θ = 63.20°, d 1.471, rel. 17.8, hkl 1 1 0
2θ = 76.17°, d 1.250, rel. 12.2, hkl 1 0 24
2θ = 78.81°, d 1.214, rel. 17.1, hkl 1 1 16

Structural model:
abc: 2.9427 2.9427 34.4165
angles: 90.00 90.00 120.00
Space group P-6m2 (No. 187)
Unique sites:
Na: 0.0000 0.0000 0.0613 x2
Na: 0.0000 0.0000 0.1876 x2
Na: 0.0000 0.0000 0.3141 x2
Na: 0.0000 0.0000 0.4370 x2
B: 0.3333 0.6667 0.1243 x2
B: 0.3333 0.6667 0.2509 x2
B: 0.3333 0.6667 0.3753 x2
B: 0.3333 0.6667 0.5000 x1
B: 0.6667 0.3333 0.0000 x1
B: 0.6667 0.3333 0.1243 x2
B: 0.6667 0.3333 0.2509 x2
B: 0.6667 0.3333 0.5000 x1
C: 0.3333 0.6667 0.0000 x1
C: 0.6667 0.3333 0.3753 x2


Record 6
Computed X-ray diffraction stick pattern
Compound: Pr5Dy2Y6
Radiation: copper Kα
Structure: a crystal structure in Alexandria, relaxed with PBE
Intensities are scaled so that the largest is 100.

Principal peaks in the range 2θ = 10–90°, by angle:
2θ = 26.85°, d 3.320, rel. 18.8, hkl 1 6 0
2θ = 30.68°, d 2.914, rel. 51.4, hkl 4 1 0
2θ = 31.05°, d 2.880, rel. 100.0, hkl 1 7 0
2θ = 31.72°, d 2.821, rel. 75.7, hkl 2 3 1
2θ = 33.77°, d 2.655, rel. 25.9, hkl 2 4 1
2θ = 36.13°, d 2.486, rel. 31.8, hkl 3 3 1

Structural model:
abc: 11.773 20.764 3.628
angles: 90.00 90.00 90.00
Space group Pbam (No. 55)
Unique sites:
Pr: 0.000 0.000 0.000 x2
Pr: 0.084 0.272 0.000 x4
Pr: 0.200 0.550 0.000 x4
Dy: 0.171 0.710 0.500 x4
Y: 0.060 0.419 0.500 x4
Y: 0.081 0.131 0.500 x4
Y: 0.176 0.862 0.000 x4